1.
Structure and computed powder XRD pattern of Tl2Sn3Hg2 (the GGA-PBE geometry in OQMD; Cu Kα (λ = 1.5418 Å)).
Neutral-atom scattering factors, no anomalous dispersion.

Structure:
Cell lengths 8.5686, 8.5686, 8.5686 Å; angles 36.22, 36.22, 36.22 degrees
Atoms (fractional coordinates):
Tl  0.0000  0.0000  0.0000
Tl  0.4299  0.4299  0.4299
Sn  0.2800  0.2800  0.2800
Sn  0.5738  0.5738  0.5738
Sn  0.8542  0.8542  0.8542
Hg  0.1465  0.1465  0.1465
Hg  0.7148  0.7148  0.7148

Top 12 peaks for 15 to 90 degrees two-theta, low angle first:
| 2θ/deg | d_spacing | I (rel.) |
| --- | --- | --- |
| 24.3 | 3.657 | 6 |
| 32.5 | 2.751 | 100 |
| 33.6 | 2.663 | 93 |
| 47.5 | 1.914 | 36 |
| 57.4 | 1.607 | 20 |
| 59.5 | 1.554 | 37 |
| 60.2 | 1.538 | 18 |
| 68.2 | 1.376 | 12 |
| 70.7 | 1.332 | 12 |
| 78.2 | 1.222 | 16 |
| 80.1 | 1.199 | 16 |
| 89.7 | 1.093 | 6 |

***

2.
Structure and computed powder XRD pattern of SrHg11 (the GGA-PBE geometry in OQMD; Cu Kα (λ = 1.5418 Å)).
Neutral-atom scattering factors, no anomalous dispersion.

Structure:
Cell lengths 9.6516, 9.6516, 9.6516 Å; angles 90.00, 90.00, 90.00 degrees
Atoms (fractional coordinates):
Sr  0.0000  0.0000  0.5000
Sr  0.0000  0.5000  0.0000
Sr  0.5000  0.0000  0.0000
Hg  0.0000  0.3440  0.3440
Hg  0.0000  0.3440  0.6560
Hg  0.0000  0.6560  0.3440
Hg  0.0000  0.6560  0.6560
Hg  0.1538  0.1538  0.1538
Hg  0.1538  0.1538  0.8462
Hg  0.1538  0.8462  0.1538
Hg  0.1538  0.8462  0.8462
Hg  0.2659  0.2659  0.5000
Hg  0.2659  0.5000  0.2659
Hg  0.2659  0.5000  0.7341
Hg  0.2659  0.7341  0.5000
Hg  0.3440  0.0000  0.3440
Hg  0.3440  0.0000  0.6560
Hg  0.3440  0.3440  0.0000
Hg  0.3440  0.6560  0.0000
Hg  0.5000  0.2659  0.2659
Hg  0.5000  0.2659  0.7341
Hg  0.5000  0.5000  0.5000
Hg  0.5000  0.7341  0.2659
Hg  0.5000  0.7341  0.7341
Hg  0.6560  0.0000  0.3440
Hg  0.6560  0.0000  0.6560
Hg  0.6560  0.3440  0.0000
Hg  0.6560  0.6560  0.0000
Hg  0.7341  0.2659  0.5000
Hg  0.7341  0.5000  0.2659
Hg  0.7341  0.5000  0.7341
Hg  0.7341  0.7341  0.5000
Hg  0.8462  0.1538  0.1538
Hg  0.8462  0.1538  0.8462
Hg  0.8462  0.8462  0.1538
Hg  0.8462  0.8462  0.8462

Top 12 peaks for 15 to 90 degrees two-theta, low angle first:
| 2θ/deg | d_spacing | I (rel.) |
| --- | --- | --- |
| 29.3 | 3.052 | 23 |
| 30.7 | 2.910 | 45 |
| 32.1 | 2.786 | 51 |
| 33.5 | 2.677 | 30 |
| 38.5 | 2.341 | 100 |
| 39.6 | 2.275 | 65 |
| 42.9 | 2.106 | 37 |
| 53.7 | 1.706 | 15 |
| 61.5 | 1.507 | 35 |
| 64.0 | 1.455 | 12 |
| 71.9 | 1.313 | 32 |
| 75.7 | 1.257 | 13 |